1.
Calculated powder diffraction line list
Compound: Rb2BaZrF6
Radiation: Cu Kα (λ = 1.5418 Å)
Structure: DFT lattice parameters and positions (PBE)

Main lines, in order of rising 2θ (2θ from 10° to 90°):
- 26.00°, d 3.427, rel. 507, hkl 2 0 0
- 26.21°, d 3.400, rel. 1000, hkl 1 1 2
- 37.11°, d 2.423, rel. 398, hkl 2 2 0
- 37.71°, d 2.385, rel. 187, hkl 0 0 4
- 46.00°, d 1.973, rel. 422, hkl 3 1 2
- 46.38°, d 1.958, rel. 201, hkl 2 0 4
- 53.48°, d 1.713, rel. 127, hkl 4 0 0
- 53.94°, d 1.700, rel. 245, hkl 2 2 4

```
data_Rb2BaZrF6
_cell_length_a 6.8532
_cell_length_b 6.8532
_cell_length_c 9.5415
_cell_angle_alpha 90.00
_cell_angle_beta 90.00
_cell_angle_gamma 90.00
_space_group_name_H-M_alt 'I 4/m m m'
_space_group_IT_number 139
_space_group_name_Hall '-I 4 2'
loop_
_atom_site_label
_atom_site_fract_x
_atom_site_fract_y
_atom_site_fract_z
Rb1 0.0000 0.5000 0.2500
Ba1 0.0000 0.0000 0.0000
Zr1 0.0000 0.0000 0.5000
F1 0.0000 0.0000 0.2755
F2 0.2317 0.2317 0.5000
```


2.
Calculated powder diffraction line list
Compound: Ba3RhF12
Radiation: Cu Kα (λ = 1.5418 Å)
Structure: DFT lattice parameters and positions (PBE)

Main lines, in order of rising 2θ (2θ from 10° to 90°):
- 12.63°, d 7.010, rel. 1000, hkl 1 1 0
- 13.39°, d 6.613, rel. 478, hkl 0 0 1
- 18.20°, d 4.874, rel. 303, hkl 0 2 1
- 21.55°, d 4.124, rel. 257, hkl 1 3 0
- 24.69°, d 3.606, rel. 252, hkl 0 4 0
- 25.41°, d 3.505, rel. 345, hkl 2 2 0
- 34.64°, d 2.590, rel. 281, hkl 2 2 -2
- 39.96°, d 2.256, rel. 294, hkl 2 2 2

```
data_Ba3RhF12
_cell_length_a 8.1221
_cell_length_b 14.4252
_cell_length_c 6.6966
_cell_angle_alpha 90.00
_cell_angle_beta 99.07
_cell_angle_gamma 90.00
_space_group_name_H-M_alt 'C 1 2/m 1'
_space_group_IT_number 12
loop_
_space_group_symop_operation_xyz
'x,y,z'
'-x,-y,-z'
'-x,y,-z'
'x,-y,z'
'x+1/2,y+1/2,z'
'-x+1/2,-y+1/2,-z'
'-x+1/2,y+1/2,-z'
'x+1/2,-y+1/2,z'
loop_
_atom_site_label
_atom_site_fract_x
_atom_site_fract_y
_atom_site_fract_z
Ba1 0.0000 0.0000 0.0000
Ba2 0.2500 0.2500 0.5000
Rh1 0.0000 0.0000 0.5000
F1 0.0417 0.2838 0.7282
F2 0.1446 0.0808 0.3460
F3 0.1486 0.0818 0.7009
```


3.
Calculated powder diffraction line list
Compound: Ba2RhF8
Radiation: Cu Kα (λ = 1.5418 Å)
Structure: DFT lattice parameters and positions (PBE)

Main lines, in order of rising 2θ (2θ from 10° to 90°):
- 20.90°, d 4.251, rel. 976, hkl 2 0 -1
- 21.95°, d 4.050, rel. 1000, hkl 0 2 0
- 25.90°, d 3.440, rel. 898, hkl 1 1 1
- 28.61°, d 3.120, rel. 670, hkl 3 1 0
- 30.48°, d 2.932, rel. 338, hkl 2 2 -1
- 37.84°, d 2.377, rel. 323, hkl 1 1 -2
- 41.01°, d 2.201, rel. 392, hkl 1 3 1
- 42.87°, d 2.110, rel. 327, hkl 3 3 0

```
data_Ba2RhF8
_cell_length_a 10.7973
_cell_length_b 8.0994
_cell_length_c 5.0086
_cell_angle_alpha 90.00
_cell_angle_beta 110.04
_cell_angle_gamma 90.00
_space_group_name_H-M_alt 'C 1 2/m 1'
_space_group_IT_number 12
loop_
_space_group_symop_operation_xyz
'x,y,z'
'-x,-y,-z'
'-x,y,-z'
'x,-y,z'
'x+1/2,y+1/2,z'
'-x+1/2,-y+1/2,-z'
'-x+1/2,y+1/2,-z'
'x+1/2,-y+1/2,z'
loop_
_atom_site_label
_atom_site_fract_x
_atom_site_fract_y
_atom_site_fract_z
Ba1 0.1639 0.0000 0.3591
Rh1 0.0000 0.5000 0.0000
F1 0.0902 0.0000 0.8065
F2 0.1090 0.5000 0.7690
F3 0.1184 0.3317 0.2448
```